[1]
Computed powder diffractogram of Hg2S2I for Cu Kα (weighted mean of Kα1 and Kα2), from a crystal structure in Alexandria, relaxed with GGA-PBE.
No peak broadening, texture or thermal motion is included.

The 8 most intense peaks (2θ from 10° to 80°), in order of rising 2θ:
| 2θ/deg | d (Å) | I (rel.) | index |
| --- | --- | --- | --- |
| 13.4 | 6.606 | 645 | 0 0 1 |
| 19.7 | 4.504 | 493 | 1 0 -1 |
| 28.6 | 3.126 | 1000 | 1 2 2 |
| 28.9 | 3.088 | 711 | 0 2 0 |
| 29.0 | 3.079 | 840 | 2 0 0 |
| 30.7 | 2.911 | 971 | 1 0 2 |
| 35.0 | 2.561 | 417 | 2 2 0 |
| 36.0 | 2.498 | 435 | -1 2 2 |

Atomic structure:
```
data_Hg2S2I
_chemical_formula_sum 'Hg4 S4 I2'
_symmetry_space_group_name_H-M 'P -1'
_symmetry_Int_Tables_number 2
_cell_length_a 6.4803
_cell_length_b 7.3522
_cell_length_c 7.5602
_cell_angle_alpha 60.91
_cell_angle_beta 81.12
_cell_angle_gamma 71.84
loop_
_symmetry_equiv_pos_as_xyz
'x,y,z'
'-x,-y,-z'
loop_
_atom_site_label
_atom_site_type_symbol
_atom_site_fract_x
_atom_site_fract_y
_atom_site_fract_z
_atom_site_occupancy
Hg1 Hg 0.2100 0.2040 0.1272 1
Hg2 Hg 0.2889 0.6725 0.1261 1
S1 S 0.2499 0.5593 0.8842 1
S2 S 0.2517 0.8243 0.3529 1
I1 I 0.2489 0.1841 0.6325 1
```



[2]
Computed powder diffractogram of Hg2SI for Cu Kα (weighted mean of Kα1 and Kα2), from a crystal structure in Alexandria, relaxed with GGA-PBE.
No peak broadening, texture or thermal motion is included.

The 8 most intense peaks (2θ from 10° to 80°), in order of rising 2θ:
| 2θ/deg | d (Å) | I (rel.) | index |
| --- | --- | --- | --- |
| 24.2 | 3.682 | 582 | 1 1 0 |
| 24.4 | 3.655 | 1000 | 0 1 2 |
| 26.2 | 3.404 | 298 | 1 1 1 |
| 29.8 | 3.003 | 811 | 2 0 1 |
| 34.6 | 2.594 | 871 | 0 2 2 |
| 42.6 | 2.121 | 306 | 2 1 2 |
| 48.6 | 1.872 | 322 | 2 1 3 |
| 52.8 | 1.735 | 250 | 3 1 1 |

Atomic structure:
```
data_Hg2SI
_chemical_formula_sum 'Hg6 S3 I3'
_symmetry_space_group_name_H-M 'P 31 2 1'
_symmetry_Int_Tables_number 152
_cell_length_a 7.3645
_cell_length_b 7.3645
_cell_length_c 8.9189
_cell_angle_alpha 90.00
_cell_angle_beta 90.00
_cell_angle_gamma 120.00
loop_
_symmetry_equiv_pos_as_xyz
'x,y,z'
'-y,x-y,z+1/3'
'-x+y,-x,z+2/3'
'y,x,-z'
'x-y,-y,-z+2/3'
'-x,-x+y,-z+1/3'
loop_
_atom_site_label
_atom_site_type_symbol
_atom_site_fract_x
_atom_site_fract_y
_atom_site_fract_z
_atom_site_occupancy
Hg1 Hg 0.0846 0.4230 0.3784 1
S1 S 0.0000 0.6196 0.1667 1
I1 I 0.0000 0.6586 0.6667 1
```



[3]
Computed powder diffractogram of Hg4S2I3 for Cu Kα (weighted mean of Kα1 and Kα2), from a crystal structure in Alexandria, relaxed with GGA-PBE.
No peak broadening, texture or thermal motion is included.

The 8 most intense peaks (2θ from 10° to 80°), in order of rising 2θ:
| 2θ/deg | d (Å) | I (rel.) | index |
| --- | --- | --- | --- |
| 12.3 | 7.209 | 1000 | 0 2 0 |
| 19.7 | 4.504 | 646 | 1 3 0 |
| 27.6 | 3.228 | 361 | 4 0 0 |
| 27.8 | 3.205 | 687 | 3 3 0 |
| 31.5 | 2.840 | 962 | 1 3 -2 |
| 33.0 | 2.711 | 353 | 4 0 -2 |
| 35.3 | 2.541 | 618 | 5 1 0 |
| 40.4 | 2.231 | 663 | 1 5 -2 |

Atomic structure:
```
data_Hg4S2I3
_chemical_formula_sum 'Hg16 S8 I12'
_symmetry_space_group_name_H-M 'C 1 2/c 1'
_symmetry_Int_Tables_number 15
_cell_length_a 13.3473
_cell_length_b 14.4173
_cell_length_c 7.0399
_cell_angle_alpha 90.00
_cell_angle_beta 104.69
_cell_angle_gamma 90.00
loop_
_symmetry_equiv_pos_as_xyz
'x,y,z'
'-x,-y,-z'
'-x,y,-z+1/2'
'x,-y,z+1/2'
'x+1/2,y+1/2,z'
'-x+1/2,-y+1/2,-z'
'-x+1/2,y+1/2,-z+1/2'
'x+1/2,-y+1/2,z+1/2'
loop_
_atom_site_label
_atom_site_type_symbol
_atom_site_fract_x
_atom_site_fract_y
_atom_site_fract_z
_atom_site_occupancy
Hg1 Hg 0.1065 0.1171 0.0548 1
Hg2 Hg 0.1645 0.4964 0.5783 1
S1 S 0.1923 0.3853 0.8484 1
I1 I 0.0000 0.3806 0.2500 1
I2 I 0.1146 0.1259 0.5578 1
```



[4]
Computed powder diffractogram of Hg4S12I for Cu Kα (weighted mean of Kα1 and Kα2), from a crystal structure in Alexandria, relaxed with GGA-PBE.
No peak broadening, texture or thermal motion is included.

The 8 most intense peaks (2θ from 10° to 80°), in order of rising 2θ:
| 2θ/deg | d (Å) | I (rel.) | index |
| --- | --- | --- | --- |
| 17.2 | 5.169 | 504 | 1 1 1 |
| 20.3 | 4.374 | 1000 | 0 0 2 |
| 20.4 | 4.351 | 601 | -1 1 1 |
| 22.5 | 3.949 | 744 | 0 2 0 |
| 26.2 | 3.402 | 666 | 2 0 0 |
| 27.4 | 3.260 | 525 | 0 2 2 |
| 30.6 | 2.919 | 549 | 2 2 0 |
| 34.7 | 2.584 | 369 | 2 2 2 |

Atomic structure:
```
data_Hg4S12I
_chemical_formula_sum 'Hg4 S12 I1'
_symmetry_space_group_name_H-M 'P -1'
_symmetry_Int_Tables_number 2
_cell_length_a 6.9807
_cell_length_b 8.2578
_cell_length_c 8.9176
_cell_angle_alpha 78.82
_cell_angle_beta 88.51
_cell_angle_gamma 77.07
loop_
_symmetry_equiv_pos_as_xyz
'x,y,z'
'-x,-y,-z'
loop_
_atom_site_label
_atom_site_type_symbol
_atom_site_fract_x
_atom_site_fract_y
_atom_site_fract_z
_atom_site_occupancy
Hg1 Hg 0.0000 0.0000 0.0000 1
Hg2 Hg 0.0000 0.5000 0.5000 1
Hg3 Hg 0.5000 0.0000 0.5000 1
Hg4 Hg 0.5000 0.5000 0.0000 1
S1 S 0.0093 0.3698 0.1696 1
S2 S 0.0489 0.9121 0.2790 1
S3 S 0.1626 0.2104 0.6367 1
S4 S 0.1958 0.4301 0.9035 1
S5 S 0.3756 0.7503 0.6184 1
S6 S 0.3884 0.6114 0.4541 1
I1 I 0.5000 0.0000 0.0000 1
```



[5]
Computed powder diffractogram of Hg4Sb2I3 for Cu Kα (weighted mean of Kα1 and Kα2), from a crystal structure in Alexandria, relaxed with GGA-PBE.
No peak broadening, texture or thermal motion is included.

The 8 most intense peaks (2θ from 10° to 80°), in order of rising 2θ:
| 2θ/deg | d (Å) | I (rel.) | index |
| --- | --- | --- | --- |
| 13.3 | 6.675 | 490 | 0 2 0 |
| 19.9 | 4.469 | 422 | 2 2 -1 |
| 20.9 | 4.247 | 581 | 1 3 0 |
| 23.8 | 3.745 | 487 | 0 0 2 |
| 30.6 | 2.925 | 1000 | 1 3 -2 |
| 32.2 | 2.783 | 706 | 5 1 0 |
| 32.7 | 2.740 | 364 | 4 2 -2 |
| 41.0 | 2.200 | 386 | 1 5 -2 |

Atomic structure:
```
data_Hg4Sb2I3
_chemical_formula_sum 'Hg16 Sb8 I12'
_symmetry_space_group_name_H-M 'C 1 2/c 1'
_symmetry_Int_Tables_number 15
_cell_length_a 14.7562
_cell_length_b 13.3492
_cell_length_c 7.7662
_cell_angle_alpha 90.00
_cell_angle_beta 105.41
_cell_angle_gamma 90.00
loop_
_symmetry_equiv_pos_as_xyz
'x,y,z'
'-x,-y,-z'
'-x,y,-z+1/2'
'x,-y,z+1/2'
'x+1/2,y+1/2,z'
'-x+1/2,-y+1/2,-z'
'-x+1/2,y+1/2,-z+1/2'
'x+1/2,-y+1/2,z+1/2'
loop_
_atom_site_label
_atom_site_type_symbol
_atom_site_fract_x
_atom_site_fract_y
_atom_site_fract_z
_atom_site_occupancy
Hg1 Hg 0.0984 0.1170 0.0428 1
Hg2 Hg 0.1722 0.4919 0.6047 1
Sb1 Sb 0.2147 0.3523 0.8940 1
I1 I 0.0000 0.4198 0.2500 1
I2 I 0.0945 0.1357 0.5378 1
```



[6]
Computed powder diffractogram of HgSbI2 for Cu Kα (weighted mean of Kα1 and Kα2), from a crystal structure in Alexandria, relaxed with GGA-PBE.
No peak broadening, texture or thermal motion is included.

The 8 most intense peaks (2θ from 10° to 80°), in order of rising 2θ:
| 2θ/deg | d (Å) | I (rel.) | index |
| --- | --- | --- | --- |
| 13.7 | 6.478 | 407 | 0 1 1 |
| 13.9 | 6.353 | 368 | 1 1 0 |
| 19.7 | 4.497 | 211 | 1 1 1 |
| 25.0 | 3.559 | 439 | 1 2 1 |
| 28.6 | 3.126 | 1000 | 0 3 1 |
| 31.8 | 2.812 | 399 | 3 0 -2 |
| 41.6 | 2.169 | 233 | 1 2 3 |
| 45.3 | 2.002 | 247 | 4 2 -1 |

Atomic structure:
```
data_HgSbI2
_chemical_formula_sum 'Hg4 Sb4 I8'
_symmetry_space_group_name_H-M 'P 1 21/c 1'
_symmetry_Int_Tables_number 14
_cell_length_a 8.7986
_cell_length_b 10.0873
_cell_length_c 9.0929
_cell_angle_alpha 90.00
_cell_angle_beta 111.64
_cell_angle_gamma 90.00
loop_
_symmetry_equiv_pos_as_xyz
'x,y,z'
'-x,-y,-z'
'-x,y+1/2,-z+1/2'
'x,-y+1/2,z+1/2'
loop_
_atom_site_label
_atom_site_type_symbol
_atom_site_fract_x
_atom_site_fract_y
_atom_site_fract_z
_atom_site_occupancy
Hg1 Hg 0.1856 0.1479 0.4886 1
Sb1 Sb 0.4688 0.1292 0.4287 1
I1 I 0.0347 0.6747 0.8603 1
I2 I 0.3360 0.0062 0.1340 1
```



[7]
Computed powder diffractogram of HgSb2Se2I2 for Cu Kα (weighted mean of Kα1 and Kα2), from a crystal structure in Alexandria, relaxed with GGA-PBE.
No peak broadening, texture or thermal motion is included.

The 8 most intense peaks (2θ from 10° to 80°), in order of rising 2θ:
| 2θ/deg | d (Å) | I (rel.) | index |
| --- | --- | --- | --- |
| 16.6 | 5.332 | 628 | 1 1 0 |
| 19.9 | 4.457 | 291 | 1 1 1 |
| 20.9 | 4.242 | 549 | 0 1 -1 |
| 28.0 | 3.187 | 1000 | 0 1 2 |
| 29.4 | 3.034 | 440 | 0 2 0 |
| 29.5 | 3.025 | 458 | 1 -1 1 |
| 32.4 | 2.766 | 837 | 2 1 -1 |
| 34.7 | 2.585 | 483 | 2 2 1 |

Atomic structure:
```
data_HgSb2Se2I2
_chemical_formula_sum 'Hg1 Sb2 Se2 I2'
_symmetry_space_group_name_H-M 'P -1'
_symmetry_Int_Tables_number 2
_cell_length_a 6.2308
_cell_length_b 6.6671
_cell_length_c 6.9236
_cell_angle_alpha 81.26
_cell_angle_beta 87.48
_cell_angle_gamma 66.95
loop_
_symmetry_equiv_pos_as_xyz
'x,y,z'
'-x,-y,-z'
loop_
_atom_site_label
_atom_site_type_symbol
_atom_site_fract_x
_atom_site_fract_y
_atom_site_fract_z
_atom_site_occupancy
Hg1 Hg 0.0000 0.0000 0.0000 1
Sb1 Sb 0.2992 0.5866 0.2022 1
Se1 Se 0.3232 0.3587 0.9170 1
I1 I 0.2535 0.9928 0.5000 1
```



[8]
Computed powder diffractogram of Hg2SeI for Cu Kα (weighted mean of Kα1 and Kα2), from a crystal structure in Alexandria, relaxed with GGA-PBE.
No peak broadening, texture or thermal motion is included.

The 8 most intense peaks (2θ from 10° to 80°), in order of rising 2θ:
| 2θ/deg | d (Å) | I (rel.) | index |
| --- | --- | --- | --- |
| 20.8 | 4.274 | 694 | 1 0 -1 |
| 23.7 | 3.754 | 1000 | 1 1 -1 |
| 26.0 | 3.433 | 555 | 1 -1 1 |
| 27.2 | 3.284 | 552 | 0 2 -2 |
| 28.3 | 3.156 | 564 | 0 0 3 |
| 29.6 | 3.016 | 857 | -1 1 2 |
| 41.1 | 2.194 | 586 | 2 0 -1 |
| 43.0 | 2.104 | 612 | 1 -3 0 |

Atomic structure:
```
data_Hg2SeI
_chemical_formula_sum 'Hg4 Se2 I2'
_symmetry_space_group_name_H-M 'P 1'
_symmetry_Int_Tables_number 1
_cell_length_a 4.3874
_cell_length_b 7.2854
_cell_length_c 10.0942
_cell_angle_alpha 105.75
_cell_angle_beta 102.43
_cell_angle_gamma 90.03
loop_
_symmetry_equiv_pos_as_xyz
'x,y,z'
loop_
_atom_site_label
_atom_site_type_symbol
_atom_site_fract_x
_atom_site_fract_y
_atom_site_fract_z
_atom_site_occupancy
Hg1 Hg 0.0000 0.0000 0.0000 1
Hg2 Hg 0.1327 0.3305 0.2859 1
Hg3 Hg 0.6463 0.7780 0.3158 1
Hg4 Hg 0.8133 0.2283 0.6505 1
Se1 Se 0.0787 0.6186 0.1796 1
Se2 Se 0.6752 0.1787 0.3720 1
I1 I 0.4008 0.4031 0.8260 1
I2 I 0.7992 0.8169 0.6216 1
```



[9]
Computed powder diffractogram of Hg5Se2I2 for Cu Kα (weighted mean of Kα1 and Kα2), from a crystal structure in Alexandria, relaxed with GGA-PBE.
No peak broadening, texture or thermal motion is included.

The 8 most intense peaks (2θ from 10° to 80°), in order of rising 2θ:
| 2θ/deg | d (Å) | I (rel.) | index |
| --- | --- | --- | --- |
| 14.6 | 6.074 | 580 | 4 0 0 |
| 19.5 | 4.556 | 506 | 4 0 1 |
| 22.2 | 4.012 | 414 | 2 0 -2 |
| 23.1 | 3.846 | 838 | 0 2 0 |
| 27.5 | 3.245 | 449 | 4 2 0 |
| 28.9 | 3.089 | 339 | 6 0 -2 |
| 32.3 | 2.773 | 1000 | 2 2 -2 |
| 40.7 | 2.219 | 360 | 8 2 1 |

Atomic structure:
```
data_Hg5Se2I2
_chemical_formula_sum 'Hg20 Se8 I8'
_symmetry_space_group_name_H-M 'C 1 2 1'
_symmetry_Int_Tables_number 5
_cell_length_a 24.5435
_cell_length_b 7.6760
_cell_length_c 8.1719
_cell_angle_alpha 90.00
_cell_angle_beta 98.17
_cell_angle_gamma 90.00
loop_
_symmetry_equiv_pos_as_xyz
'x,y,z'
'-x,y,-z'
'x+1/2,y+1/2,z'
'-x+1/2,y+1/2,-z'
loop_
_atom_site_label
_atom_site_type_symbol
_atom_site_fract_x
_atom_site_fract_y
_atom_site_fract_z
_atom_site_occupancy
Hg1 Hg 0.0013 0.0000 0.2537 1
Hg2 Hg 0.0457 0.5878 0.3634 1
Hg3 Hg 0.1944 0.0654 0.9428 1
Hg4 Hg 0.1952 0.5489 0.9568 1
Hg5 Hg 0.2489 0.5673 0.5024 1
Se1 Se 0.0000 0.1962 0.5000 1
Se2 Se 0.0000 0.8126 0.0000 1
Se3 Se 0.2431 0.8150 0.2983 1
I1 I 0.1121 0.3034 0.0333 1
I2 I 0.1392 0.8020 0.7160 1
```



[10]
Computed powder diffractogram of Hg2SeI for Cu Kα (weighted mean of Kα1 and Kα2), from a crystal structure in Alexandria, relaxed with GGA-PBE.
No peak broadening, texture or thermal motion is included.

The 8 most intense peaks (2θ from 10° to 80°), in order of rising 2θ:
| 2θ/deg | d (Å) | I (rel.) | index |
| --- | --- | --- | --- |
| 23.4 | 3.806 | 1000 | 0 1 -2 |
| 24.7 | 3.607 | 581 | 1 1 1 |
| 25.0 | 3.564 | 531 | 1 -1 0 |
| 25.2 | 3.536 | 470 | 1 1 0 |
| 25.9 | 3.441 | 453 | 1 -1 1 |
| 26.9 | 3.315 | 646 | 1 1 2 |
| 31.0 | 2.889 | 621 | -1 1 2 |
| 39.0 | 2.311 | 609 | -1 2 2 |

Atomic structure:
```
data_Hg2SeI
_chemical_formula_sum 'Hg4 Se2 I2'
_symmetry_space_group_name_H-M 'P 1'
_symmetry_Int_Tables_number 1
_cell_length_a 4.3729
_cell_length_b 6.3267
_cell_length_c 11.0001
_cell_angle_alpha 81.58
_cell_angle_beta 79.94
_cell_angle_gamma 88.93
loop_
_symmetry_equiv_pos_as_xyz
'x,y,z'
loop_
_atom_site_label
_atom_site_type_symbol
_atom_site_fract_x
_atom_site_fract_y
_atom_site_fract_z
_atom_site_occupancy
Hg1 Hg 0.0000 0.0000 0.0000 1
Hg2 Hg 0.1587 0.9859 0.5862 1
Hg3 Hg 0.6082 0.4806 0.6950 1
Hg4 Hg 0.7757 0.1969 0.1968 1
Se1 Se 0.0888 0.2425 0.7597 1
Se2 Se 0.6966 0.7995 0.5144 1
I1 I 0.2528 0.3691 0.3429 1
I2 I 0.5007 0.6936 0.9548 1
```



[11]
Computed powder diffractogram of Hg3SeI3 for Cu Kα (weighted mean of Kα1 and Kα2), from a crystal structure in Alexandria, relaxed with GGA-PBE.
No peak broadening, texture or thermal motion is included.

The 8 most intense peaks (2θ from 10° to 80°), in order of rising 2θ:
| 2θ/deg | d (Å) | I (rel.) | index |
| --- | --- | --- | --- |
| 18.3 | 4.839 | 245 | 1 0 1 |
| 19.1 | 4.652 | 180 | 1 0 -2 |
| 23.6 | 3.764 | 1000 | 0 2 0 |
| 30.0 | 2.982 | 242 | 3 0 -2 |
| 30.1 | 2.971 | 150 | 1 2 1 |
| 32.3 | 2.771 | 213 | 0 0 3 |
| 38.5 | 2.338 | 249 | 3 2 -2 |
| 40.4 | 2.233 | 255 | 0 2 3 |

Atomic structure:
```
data_Hg3SeI3
_chemical_formula_sum 'Hg6 Se2 I6'
_symmetry_space_group_name_H-M 'P 1 21/m 1'
_symmetry_Int_Tables_number 11
_cell_length_a 9.1781
_cell_length_b 7.5277
_cell_length_c 9.3209
_cell_angle_alpha 90.00
_cell_angle_beta 116.91
_cell_angle_gamma 90.00
loop_
_symmetry_equiv_pos_as_xyz
'x,y,z'
'-x,-y,-z'
'-x,y+1/2,-z'
'x,-y+1/2,z'
loop_
_atom_site_label
_atom_site_type_symbol
_atom_site_fract_x
_atom_site_fract_y
_atom_site_fract_z
_atom_site_occupancy
Hg1 Hg 0.0855 0.2500 0.1882 1
Hg2 Hg 0.2640 0.2500 0.8446 1
Hg3 Hg 0.3954 0.7500 0.5567 1
Se1 Se 0.3448 0.2500 0.1550 1
I1 I 0.1031 0.7500 0.2644 1
I2 I 0.2102 0.7500 0.8159 1
I3 I 0.3448 0.2500 0.5896 1
```



[12]
Computed powder diffractogram of SiHgI for Cu Kα (weighted mean of Kα1 and Kα2), from a crystal structure in Alexandria, relaxed with GGA-PBE.
No peak broadening, texture or thermal motion is included.

The 8 most intense peaks (2θ from 10° to 80°), in order of rising 2θ:
| 2θ/deg | d (Å) | I (rel.) | index |
| --- | --- | --- | --- |
| 10.7 | 8.297 | 444 | 2 0 0 |
| 26.9 | 3.320 | 688 | 2 0 1 |
| 27.8 | 3.203 | 315 | 4 0 -1 |
| 30.2 | 2.960 | 776 | 3 1 -1 |
| 31.9 | 2.809 | 1000 | 5 1 0 |
| 34.0 | 2.637 | 480 | 0 2 0 |
| 43.8 | 2.065 | 383 | 2 2 1 |
| 51.8 | 1.765 | 292 | 7 1 1 |

Atomic structure:
```
data_SiHgI
_chemical_formula_sum 'Si4 Hg4 I4'
_symmetry_space_group_name_H-M 'C 1 2/m 1'
_symmetry_Int_Tables_number 12
_cell_length_a 16.9410
_cell_length_b 5.2748
_cell_length_c 4.0378
_cell_angle_alpha 90.00
_cell_angle_beta 101.63
_cell_angle_gamma 90.00
loop_
_symmetry_equiv_pos_as_xyz
'x,y,z'
'-x,-y,-z'
'-x,y,-z'
'x,-y,z'
'x+1/2,y+1/2,z'
'-x+1/2,-y+1/2,-z'
'-x+1/2,y+1/2,-z'
'x+1/2,-y+1/2,z'
loop_
_atom_site_label
_atom_site_type_symbol
_atom_site_fract_x
_atom_site_fract_y
_atom_site_fract_z
_atom_site_occupancy
Si1 Si 0.0424 0.0000 0.2839 1
Hg1 Hg 0.2005 0.0000 0.0147 1
I1 I 0.0980 0.5000 0.3491 1
```



[13]
Computed powder diffractogram of SmHgI for Cu Kα (weighted mean of Kα1 and Kα2), from a crystal structure in Alexandria, relaxed with GGA-PBE.
No peak broadening, texture or thermal motion is included.

The 8 most intense peaks (2θ from 10° to 80°), in order of rising 2θ:
| 2θ/deg | d (Å) | I (rel.) | index |
| --- | --- | --- | --- |
| 27.0 | 3.300 | 409 | 2 0 -2 |
| 27.5 | 3.247 | 1000 | 1 1 2 |
| 31.2 | 2.869 | 342 | 2 0 -3 |
| 31.8 | 2.817 | 514 | 1 1 3 |
| 41.2 | 2.192 | 710 | 0 2 0 |
| 42.4 | 2.131 | 406 | 1 1 -5 |
| 43.1 | 2.097 | 182 | 2 0 5 |
| 50.0 | 1.825 | 241 | 0 0 7 |

Atomic structure:
```
data_SmHgI
_chemical_formula_sum 'Sm4 Hg4 I4'
_symmetry_space_group_name_H-M 'C 1 2/m 1'
_symmetry_Int_Tables_number 12
_cell_length_a 7.5984
_cell_length_b 4.3837
_cell_length_c 12.7776
_cell_angle_alpha 90.00
_cell_angle_beta 91.38
_cell_angle_gamma 90.00
loop_
_symmetry_equiv_pos_as_xyz
'x,y,z'
'-x,-y,-z'
'-x,y,-z'
'x,-y,z'
'x+1/2,y+1/2,z'
'-x+1/2,-y+1/2,-z'
'-x+1/2,y+1/2,-z'
'x+1/2,-y+1/2,z'
loop_
_atom_site_label
_atom_site_type_symbol
_atom_site_fract_x
_atom_site_fract_y
_atom_site_fract_z
_atom_site_occupancy
Sm1 Sm 0.0082 0.0000 0.1933 1
Hg1 Hg 0.1642 0.5000 0.9423 1
I1 I 0.1812 0.5000 0.3487 1
```